(1)
YSn3Pd6: theoretical powder XRD pattern (a wavelength of 1.5418 Å), based on a DFT-relaxed cell (PBE, Alexandria).

Atomic structure:
```
20
Lattice="9.186 0.000 0.000 0.000 3.898 0.000 -2.481 0.000 10.939" Properties=species:S:1:pos:R:3 pbc="T T T"
Y -0.345 0.975 2.563
Y 7.049 2.924 8.376
Sn -0.269 0.975 6.397
Sn 0.340 2.924 10.263
Sn 2.809 0.975 3.469
Sn 3.896 2.924 7.470
Sn 6.365 0.975 0.676
Sn 6.974 2.924 4.542
Pd -1.527 0.975 10.695
Pd 0.724 2.924 4.653
Pd 1.688 2.924 1.874
Pd 1.060 2.924 7.699
Pd 2.527 0.975 6.144
Pd 3.742 0.975 0.919
Pd 2.963 2.924 10.021
Pd 4.178 2.924 4.795
Pd 5.645 0.975 3.241
Pd 5.017 0.975 9.065
Pd 5.981 0.975 6.286
Pd 8.232 2.924 0.244
```

Main lines, by angle (2θ from 5° to 70°):
- 26.9°, intensity 18, (1 1 1)
- 33.5°, intensity 22, (1 1 -3)
- 33.7°, intensity 22, (0 1 3)
- 37.4°, intensity 27, (3 0 2)
- 38.0°, intensity 100, (3 1 0)
- 39.5°, intensity 37, (3 0 -4)
- 40.3°, intensity 70, (0 1 4)
- 40.3°, intensity 22, (3 1 1)
- 41.7°, intensity 20, (2 1 -4)
- 44.8°, intensity 19, (1 0 5)
- 46.6°, intensity 48, (0 2 0)
- 62.7°, intensity 22, (3 2 -4)

(2)
CaMg3Zn4: theoretical powder XRD pattern (a wavelength of 1.5418 Å), based on a DFT-relaxed cell (PBE, Alexandria).

Atomic structure:
```
16
Lattice="9.548 0.000 0.000 0.000 6.646 0.000 0.000 0.000 5.032" Properties=species:S:1:pos:R:3 pbc="T T T"
Ca 0.000 0.000 0.000
Ca 4.774 0.000 0.000
Mg 0.000 3.323 0.000
Mg 2.387 0.000 2.316
Mg 2.387 3.323 1.863
Mg 4.774 3.323 0.000
Mg 7.161 0.000 2.716
Mg 7.161 3.323 3.169
Zn 0.000 1.855 2.516
Zn 0.000 4.791 2.516
Zn 2.387 1.900 4.378
Zn 2.387 4.745 4.378
Zn 4.774 1.855 2.516
Zn 4.774 4.791 2.516
Zn 7.161 1.900 0.655
Zn 7.161 4.745 0.655
```

Main lines, by angle (2θ from 5° to 70°):
- 19.9°, intensity 14, (1 0 1)
- 25.7°, intensity 20, (2 0 1)
- 26.8°, intensity 11, (0 2 0)
- 29.1°, intensity 9, (2 1 1)
- 33.7°, intensity 17, (1 2 1)
- 35.7°, intensity 13, (0 0 2)
- 36.9°, intensity 15, (1 0 2)
- 37.5°, intensity 100, (2 2 1)
- 37.7°, intensity 37, (4 0 0)
- 40.5°, intensity 14, (2 0 2)
- 62.0°, intensity 9, (0 2 3)
- 67.9°, intensity 16, (6 2 1)

(3)
Dy2SbO: theoretical powder XRD pattern (a wavelength of 1.5418 Å), based on a DFT-relaxed cell (PBE, Alexandria).

Atomic structure:
```
8
Lattice="4.467 0.000 0.000 0.000 4.467 0.000 0.000 0.000 8.745" Properties=species:S:1:pos:R:3 pbc="T T T"
Dy 1.117 1.117 1.381
Dy 1.117 3.350 4.373
Dy 3.350 1.117 4.373
Dy 3.350 3.350 7.364
Sb 1.117 1.117 6.989
Sb 3.350 3.350 1.756
O 1.117 1.117 3.721
O 3.350 3.350 5.024
```

Main lines, by angle (2θ from 5° to 70°):
- 28.3°, intensity 16, (1 1 0)
- 30.1°, intensity 100, (1 1 1)
- 30.7°, intensity 57, (0 0 3)
- 35.0°, intensity 91, (1 1 2)
- 40.4°, intensity 65, (2 0 0)
- 50.8°, intensity 18, (1 1 4)
- 51.5°, intensity 54, (2 0 3)
- 58.4°, intensity 22, (2 2 0)
- 60.5°, intensity 21, (1 1 5)
- 67.1°, intensity 21, (3 1 1)
- 67.4°, intensity 24, (2 2 3)
- 70.0°, intensity 24, (3 1 2)

What did the first record say?
YSn3Pd6: theoretical powder XRD pattern (a wavelength of 1.5418 Å), based on a DFT-relaxed cell (PBE, Alexandria).

Atomic structure:
```
20
Lattice="9.186 0.000 0.000 0.000 3.898 0.000 -2.481 0.000 10.939" Properties=species:S:1:pos:R:3 pbc="T T T"
Y -0.345 0.975 2.563
Y 7.049 2.924 8.376
Sn -0.269 0.975 6.397
Sn 0.340 2.924 10.263
Sn 2.809 0.975 3.469
Sn 3.896 2.924 7.470
Sn 6.365 0.975 0.676
Sn 6.974 2.924 4.542
Pd -1.527 0.975 10.695
Pd 0.724 2.924 4.653
Pd 1.688 2.924 1.874
Pd 1.060 2.924 7.699
Pd 2.527 0.975 6.144
Pd 3.742 0.975 0.919
Pd 2.963 2.924 10.021
Pd 4.178 2.924 4.795
Pd 5.645 0.975 3.241
Pd 5.017 0.975 9.065
Pd 5.981 0.975 6.286
Pd 8.232 2.924 0.244
```

Main lines, by angle (2θ from 5° to 70°):
- 26.9°, intensity 18, (1 1 1)
- 33.5°, intensity 22, (1 1 -3)
- 33.7°, intensity 22, (0 1 3)
- 37.4°, intensity 27, (3 0 2)
- 38.0°, intensity 100, (3 1 0)
- 39.5°, intensity 37, (3 0 -4)
- 40.3°, intensity 70, (0 1 4)
- 40.3°, intensity 22, (3 1 1)
- 41.7°, intensity 20, (2 1 -4)
- 44.8°, intensity 19, (1 0 5)
- 46.6°, intensity 48, (0 2 0)
- 62.7°, intensity 22, (3 2 -4)